Record 1
Computed X-ray diffraction stick pattern
Compound: LiTb2RuO6
Radiation: copper Kα
Structure: a crystal structure in the Materials Project, relaxed with GGA-PBE
Kinematic intensities with the Lorentz-polarization factor, no thermal factor.

Structural model:
a b c (Å): 5.3270 5.7615 9.2411
angles (deg): 90.00 124.43 90.00
Sites, in units of the cell vectors:
Li 0.0000 0.0000 0.0000
Li 0.0000 0.5000 0.5000
Tb 0.2287 0.0796 0.7483
Tb 0.2287 0.4204 0.2483
Tb 0.7713 0.5796 0.7517
Tb 0.7713 0.9204 0.2517
Ru 0.5000 0.0000 0.5000
Ru 0.5000 0.5000 0.0000
O 0.1392 0.1792 0.4443
O 0.1392 0.3208 0.9443
O 0.2655 0.7049 0.4379
O 0.2655 0.7951 0.9379
O 0.3721 0.0423 0.2548
O 0.3721 0.4577 0.7548
O 0.6279 0.5423 0.2452
O 0.6279 0.9577 0.7452
O 0.7345 0.2049 0.0621
O 0.7345 0.2951 0.5621
O 0.8608 0.6792 0.0557
O 0.8608 0.8208 0.5557

The 12 most intense peaks (15 to 90 degrees two-theta), in order of falling intensity:
33.0 deg, I = 100
32.6 deg, I = 100
47.7 deg, I = 53
33.7 deg, I = 52
22.7 deg, I = 45
33.2 deg, I = 42
59.3 deg, I = 36
19.3 deg, I = 36
23.3 deg, I = 34
25.5 deg, I = 33
25.7 deg, I = 33
31.0 deg, I = 31

Record 2
Computed X-ray diffraction stick pattern
Compound: SmInNi
Radiation: copper Kα
Structure: a crystal structure in the Materials Project, relaxed with GGA-PBE
Kinematic intensities with the Lorentz-polarization factor, no thermal factor.

Structural model:
a b c (Å): 7.5184 7.5184 3.9164
angles (deg): 90.00 90.00 120.00
Sites, in units of the cell vectors:
Sm 0.0000 0.5864 0.0000
Sm 0.4136 0.4136 0.0000
Sm 0.5864 0.0000 0.0000
In 0.0000 0.2497 0.5000
In 0.2497 0.0000 0.5000
In 0.7503 0.7503 0.5000
Ni 0.0000 0.0000 0.0000
Ni 0.3333 0.6667 0.5000
Ni 0.6667 0.3333 0.5000

The 12 most intense peaks (15 to 90 degrees two-theta), in order of falling intensity:
33.0 deg, I = 100
35.9 deg, I = 80
36.5 deg, I = 58
60.4 deg, I = 26
67.1 deg, I = 25
56.1 deg, I = 25
46.4 deg, I = 22
41.6 deg, I = 21
50.5 deg, I = 14
43.4 deg, I = 13
64.0 deg, I = 11
71.0 deg, I = 10

Record 3
Computed X-ray diffraction stick pattern
Compound: Na3HfF7
Radiation: copper Kα
Structure: a crystal structure in the Materials Project, relaxed with GGA-PBE
Kinematic intensities with the Lorentz-polarization factor, no thermal factor.

Structural model:
a b c (Å): 5.4878 5.4878 6.2696
angles (deg): 113.25 113.25 90.86
Sites, in units of the cell vectors:
Na 0.0000 0.0000 0.0000
Na 0.2870 0.7529 0.5518
Na 0.7529 0.2870 0.5518
Hf 0.4665 0.4665 0.0157
F 0.1394 0.1394 0.7580
F 0.1617 0.6149 0.8111
F 0.3603 0.3603 0.2568
F 0.4891 0.8391 0.2905
F 0.6149 0.1617 0.8111
F 0.6666 0.6666 0.8963
F 0.8391 0.4891 0.2905

The 12 most intense peaks (15 to 90 degrees two-theta), in order of falling intensity:
18.0 deg, I = 100
18.6 deg, I = 78
28.6 deg, I = 65
17.1 deg, I = 52
29.8 deg, I = 30
49.5 deg, I = 27
47.2 deg, I = 25
23.1 deg, I = 23
28.0 deg, I = 23
22.7 deg, I = 20
55.2 deg, I = 18
29.9 deg, I = 18

Record 4
Computed X-ray diffraction stick pattern
Compound: La2Ti3Ag2O10
Radiation: copper Kα
Structure: a crystal structure in the Materials Project, relaxed with GGA-PBE
Kinematic intensities with the Lorentz-polarization factor, no thermal factor.

Structural model:
a b c (Å): 14.8833 14.8833 14.8833
angles (deg): 165.08 165.08 21.16
Sites, in units of the cell vectors:
La 0.0743 0.0743 0.0000
La 0.9257 0.9257 0.0000
Ti 0.3541 0.3541 0.0000
Ti 0.5000 0.5000 0.0000
Ti 0.6459 0.6459 0.0000
Ag 0.2146 0.2146 0.0000
Ag 0.7854 0.7854 0.0000
O 0.0000 0.5000 0.5000
O 0.1307 0.6307 0.5000
O 0.2934 0.2934 0.0000
O 0.3693 0.8693 0.5000
O 0.4334 0.4334 0.0000
O 0.5000 0.0000 0.5000
O 0.5666 0.5666 0.0000
O 0.6307 0.1307 0.5000
O 0.7066 0.7066 0.0000
O 0.8693 0.3693 0.5000

The 12 most intense peaks (15 to 90 degrees two-theta), in order of falling intensity:
31.5 deg, I = 100
32.8 deg, I = 51
57.7 deg, I = 35
47.0 deg, I = 30
55.3 deg, I = 23
65.8 deg, I = 18
43.3 deg, I = 17
41.2 deg, I = 15
23.2 deg, I = 13
37.7 deg, I = 13
68.7 deg, I = 9
72.1 deg, I = 9

Record 5
Computed X-ray diffraction stick pattern
Compound: CaZn2Si2HO7
Radiation: copper Kα
Structure: a crystal structure in the Materials Project, relaxed with GGA-PBE
Kinematic intensities with the Lorentz-polarization factor, no thermal factor.

Structural model:
a b c (Å): 12.6562 5.3568 5.3568
angles (deg): 71.52 90.00 90.00
Sites, in units of the cell vectors:
Ca 0.2500 0.2448 0.7552
Ca 0.7500 0.7552 0.2448
Zn 0.0000 0.1010 0.1010
Zn 0.0000 0.5984 0.5984
Zn 0.5000 0.1010 0.1010
Zn 0.5000 0.5984 0.5984
Si 0.1321 0.6095 0.1165
Si 0.3679 0.6095 0.1165
Si 0.6321 0.1165 0.6095
Si 0.8679 0.1165 0.6095
H 0.2500 0.9820 0.4320
H 0.7500 0.4320 0.9820
O 0.0447 0.4735 0.9713
O 0.1254 0.4877 0.4368
O 0.1262 0.9302 0.0077
O 0.2500 0.5208 0.0231
O 0.3738 0.9302 0.0077
O 0.3746 0.4877 0.4368
O 0.4553 0.4735 0.9713
O 0.5447 0.9713 0.4735
O 0.6254 0.4368 0.4877
O 0.6262 0.0077 0.9302
O 0.7500 0.0231 0.5208
O 0.8738 0.0077 0.9302
O 0.8746 0.4368 0.4877
O 0.9553 0.9713 0.4735

The 12 most intense peaks (15 to 90 degrees two-theta), in order of falling intensity:
24.8 deg, I = 100
35.1 deg, I = 82
31.9 deg, I = 70
18.8 deg, I = 64
35.3 deg, I = 63
59.4 deg, I = 61
38.2 deg, I = 60
27.5 deg, I = 40
20.4 deg, I = 38
44.1 deg, I = 22
56.7 deg, I = 21
53.3 deg, I = 19

Record 6
Computed X-ray diffraction stick pattern
Compound: CaSm2S4
Radiation: copper Kα
Structure: a crystal structure in the Materials Project, relaxed with GGA-PBE
Kinematic intensities with the Lorentz-polarization factor, no thermal factor.

Structural model:
a b c (Å): 7.3628 7.3628 7.3628
angles (deg): 109.59 109.59 109.23
Sites, in units of the cell vectors:
Ca 0.0000 0.0000 0.0000
Ca 0.7500 0.2500 0.5000
Sm 0.2466 0.6250 0.1216
Sm 0.3750 0.4966 0.6216
Sm 0.5034 0.1250 0.8784
Sm 0.8750 0.7534 0.3784
S 0.1281 0.2321 0.7486
S 0.1296 0.7335 0.7514
S 0.2665 0.0179 0.3961
S 0.4835 0.3796 0.2514
S 0.6204 0.8719 0.1039
S 0.6219 0.8704 0.6039
S 0.7679 0.5165 0.8961
S 0.9821 0.3781 0.2486

The 12 most intense peaks (15 to 90 degrees two-theta), in order of falling intensity:
25.7 deg, I = 100
33.4 deg, I = 78
39.6 deg, I = 46
39.7 deg, I = 33
47.9 deg, I = 30
33.2 deg, I = 27
50.3 deg, I = 27
68.0 deg, I = 26
55.1 deg, I = 17
83.7 deg, I = 17
55.0 deg, I = 15
20.9 deg, I = 14

Record 7
Computed X-ray diffraction stick pattern
Compound: Nd2CdAu2
Radiation: copper Kα
Structure: a crystal structure in the Materials Project, relaxed with GGA-PBE
Kinematic intensities with the Lorentz-polarization factor, no thermal factor.

Structural model:
a b c (Å): 8.1774 8.1774 3.8535
angles (deg): 90.00 90.00 90.00
Sites, in units of the cell vectors:
Nd 0.1737 0.3263 0.0000
Nd 0.3263 0.8263 0.0000
Nd 0.6737 0.1737 0.0000
Nd 0.8263 0.6737 0.0000
Cd 0.0000 0.0000 0.5000
Cd 0.5000 0.5000 0.5000
Au 0.1265 0.6265 0.5000
Au 0.3735 0.1265 0.5000
Au 0.6265 0.8735 0.5000
Au 0.8735 0.3735 0.5000

The 12 most intense peaks (15 to 90 degrees two-theta), in order of falling intensity:
33.8 deg, I = 100
34.7 deg, I = 39
47.2 deg, I = 19
31.9 deg, I = 18
59.9 deg, I = 16
66.1 deg, I = 13
15.3 deg, I = 13
39.7 deg, I = 12
62.8 deg, I = 11
79.0 deg, I = 10
46.5 deg, I = 10
51.8 deg, I = 8